Record 1
# Ac2NbN7
Calculated XRD peak list, CuKα. Input: a structure optimized by DFT (PBE).
No peak broadening, texture or thermal motion is included.

Largest 10 diffraction maxima, sorted by position, 10° ≤ 2θ ≤ 90°:
d_spacing  I/Imax
4.001  38
2.829  100
2.310  24
2.001  26
1.789  20
1.634  40
1.415  17
1.334  10
1.265  18
1.206  9

Structure:
abc: 5.659 5.659 5.659
angles: 60.00 60.00 60.00
Fractional positions:
Ac (0.250, 0.250, 0.250)
Ac (0.750, 0.750, 0.750)
Nb (0.000, 0.000, 0.000)
N (0.259, 0.259, 0.741)
N (0.259, 0.741, 0.259)
N (0.259, 0.741, 0.741)
N (0.500, 0.500, 0.500)
N (0.741, 0.259, 0.259)
N (0.741, 0.259, 0.741)
N (0.741, 0.741, 0.259)



Record 2
# PmTcGeH2
Calculated XRD peak list, CuKα. Input: a structure optimized by DFT (PBE).
No peak broadening, texture or thermal motion is included.

Largest 10 diffraction maxima, sorted by position, 10° ≤ 2θ ≤ 90°:
d_spacing  I/Imax
3.143  55
2.705  52
2.626  58
2.469  54
2.422  70
2.372  100
1.931  32
1.610  26
1.521  24
1.427  21

Structure:
abc: 5.709 5.709 6.260
angles: 90.00 90.00 140.46
Fractional positions:
Pm (0.205, 0.795, 0.750)
Pm (0.795, 0.205, 0.250)
Tc (0.500, 0.500, 0.000)
Tc (0.500, 0.500, 0.500)
Ge (0.074, 0.926, 0.250)
Ge (0.926, 0.074, 0.750)
H (0.336, 0.664, 0.054)
H (0.336, 0.664, 0.446)
H (0.664, 0.336, 0.554)
H (0.664, 0.336, 0.946)



Record 3
# CaMg2Tl
Calculated XRD peak list, CuKα. Input: a structure optimized by DFT (PBE).
No peak broadening, texture or thermal motion is included.

Largest 10 diffraction maxima, sorted by position, 10° ≤ 2θ ≤ 90°:
d_spacing  I/Imax
5.768  30
4.103  80
3.845  23
3.493  55
3.104  56
2.733  40
2.413  100
2.195  31
1.935  22
1.623  31

Structure:
abc: 4.390 4.390 11.536
angles: 90.00 90.00 90.00
Fractional positions:
Ca (0.250, 0.250, 0.236)
Ca (0.750, 0.750, 0.764)
Mg (0.250, 0.250, 0.941)
Mg (0.250, 0.750, 0.500)
Mg (0.750, 0.250, 0.500)
Mg (0.750, 0.750, 0.059)
Tl (0.250, 0.250, 0.678)
Tl (0.750, 0.750, 0.322)